Starting from DFT lattice parameters and positions (GGA-PBE), the powder XRD pattern of Al2V13 was computed for Cu Kα (weighted mean of Kα1 and Kα2).
Intensities are scaled so that the largest is 100.

Cell and atoms:
abc: 6.6973 6.6973 6.6973
angles: 61.49 61.49 61.49
Fractional coordinates of all 15 atoms:
Al  0.1514  0.1514  0.1514
Al  0.8486  0.8486  0.8486
V  0.0000  0.0000  0.0000
V  0.1424  0.1424  0.5500
V  0.1424  0.5500  0.1424
V  0.3111  0.3111  0.6778
V  0.3111  0.6778  0.3111
V  0.3222  0.6889  0.6889
V  0.4500  0.8576  0.8576
V  0.5500  0.1424  0.1424
V  0.6778  0.3111  0.3111
V  0.6889  0.3222  0.6889
V  0.6889  0.6889  0.3222
V  0.8576  0.4500  0.8576
V  0.8576  0.8576  0.4500

Peak list (10 most intense, 2θ from 15° to 90°, by angle)
- 18.54°, rel. 13
- 33.14°, rel. 18
- 40.64°, rel. 100
- 41.25°, rel. 55
- 41.84°, rel. 59
- 42.62°, rel. 14
- 53.53°, rel. 19
- 54.86°, rel. 21
- 57.79°, rel. 40
- 82.16°, rel. 27


Starting from DFT lattice parameters and positions (GGA-PBE), the powder XRD pattern of Ho5Er4Zr was computed for Cu Kα (weighted mean of Kα1 and Kα2).
Intensities are scaled so that the largest is 100.

Cell and atoms:
abc: 7.8703 7.8703 7.8703
angles: 97.88 97.88 136.54
Fractional coordinates of all 10 atoms:
Ho  0.0000  0.0000  0.0000
Ho  0.1107  0.1107  0.6305
Ho  0.1107  0.4802  0.0000
Ho  0.4802  0.1107  0.0000
Ho  0.4802  0.4802  0.3695
Er  0.0882  0.7668  0.3214
Er  0.4455  0.7668  0.6786
Er  0.7668  0.0882  0.3214
Er  0.7668  0.4455  0.6786
Zr  0.5385  0.5385  0.0000

Peak list (10 most intense, 2θ from 15° to 90°, by angle)
- 30.13°, rel. 100
- 30.68°, rel. 16
- 33.09°, rel. 9
- 35.36°, rel. 12
- 36.88°, rel. 38
- 48.71°, rel. 15
- 53.15°, rel. 12
- 54.20°, rel. 14
- 61.19°, rel. 8
- 62.31°, rel. 19


Starting from DFT lattice parameters and positions (GGA-PBE), the powder XRD pattern of Y3BSe2 was computed for Cu Kα (weighted mean of Kα1 and Kα2).
Intensities are scaled so that the largest is 100.

Cell and atoms:
abc: 13.1912 12.5777 6.9694
angles: 79.23 69.50 31.27
Fractional coordinates of all 24 atoms:
Y  0.0349  0.5359  0.1839
Y  0.0908  0.6592  0.6592
Y  0.1839  0.7452  0.0349
Y  0.2548  0.8161  0.4641
Y  0.3408  0.9092  0.9092
Y  0.4641  0.9651  0.2548
Y  0.5359  0.0349  0.7452
Y  0.6592  0.0908  0.0908
Y  0.7452  0.1839  0.5359
Y  0.8161  0.2548  0.9651
Y  0.9092  0.3408  0.3408
Y  0.9651  0.4641  0.8161
B  0.0412  0.0412  0.2088
B  0.2088  0.2088  0.0412
B  0.7912  0.7912  0.9588
B  0.9588  0.9588  0.7912
Se  0.1287  0.1287  0.6213
Se  0.2955  0.2955  0.4545
Se  0.3787  0.3787  0.8713
Se  0.4545  0.4545  0.2955
Se  0.5455  0.5455  0.7045
Se  0.6213  0.6213  0.1287
Se  0.7045  0.7045  0.5455
Se  0.8713  0.8713  0.3787

Peak list (10 most intense, 2θ from 15° to 90°, by angle)
- 31.56°, rel. 100
- 41.27°, rel. 6
- 44.78°, rel. 11
- 45.23°, rel. 44
- 45.71°, rel. 11
- 55.80°, rel. 11
- 56.59°, rel. 11
- 65.89°, rel. 9
- 74.88°, rel. 15
- 84.22°, rel. 6


Starting from DFT lattice parameters and positions (GGA-PBE), the powder XRD pattern of Ba2ZnB6O12 was computed for Cu Kα (weighted mean of Kα1 and Kα2).
Intensities are scaled so that the largest is 100.

Cell and atoms:
abc: 7.2186 7.2700 12.3750
angles: 80.35 86.38 60.25
Fractional coordinates of all 42 atoms:
Ba  0.1637  0.1805  0.4503
Ba  0.1800  0.0885  0.7825
Ba  0.8200  0.9115  0.2175
Ba  0.8363  0.8195  0.5497
Zn  0.4714  0.6352  0.0861
Zn  0.5286  0.3648  0.9139
B  0.0708  0.5538  0.8673
B  0.1813  0.0656  0.1261
B  0.2798  0.7128  0.3733
B  0.3116  0.3206  0.1135
B  0.3299  0.4234  0.6228
B  0.4669  0.6747  0.6275
B  0.5331  0.3253  0.3725
B  0.6701  0.5766  0.3772
B  0.6884  0.6794  0.8865
B  0.7202  0.2872  0.6267
B  0.8187  0.9344  0.8739
B  0.9292  0.4462  0.1327
O  0.0266  0.7655  0.8623
O  0.0825  0.8757  0.3783
O  0.1053  0.4825  0.1289
O  0.1631  0.3936  0.6173
O  0.2060  0.8738  0.1177
O  0.2664  0.3837  0.8698
O  0.2975  0.6318  0.6234
O  0.3236  0.5026  0.3675
O  0.3505  0.1099  0.1223
O  0.4365  0.8716  0.6260
O  0.4573  0.7453  0.3747
O  0.4778  0.3571  0.0886
O  0.5222  0.6429  0.9114
O  0.5427  0.2547  0.6253
O  0.5635  0.1284  0.3740
O  0.6495  0.8901  0.8777
O  0.6764  0.4974  0.6325
O  0.7025  0.3682  0.3766
O  0.7336  0.6163  0.1302
O  0.7940  0.1262  0.8823
O  0.8369  0.6064  0.3827
O  0.8947  0.5175  0.8711
O  0.9175  0.1243  0.6217
O  0.9734  0.2345  0.1377

Peak list (10 most intense, 2θ from 15° to 90°, by angle)
- 15.12°, rel. 18
- 15.75°, rel. 23
- 21.90°, rel. 30
- 24.18°, rel. 22
- 24.68°, rel. 100
- 26.41°, rel. 44
- 27.79°, rel. 41
- 30.54°, rel. 19
- 38.30°, rel. 21
- 43.34°, rel. 19